(1)
Structure and simulated PXRD pattern of HfMg6SbO8 (DFT lattice parameters and positions (PBE); Cu Kα, 1.54184 Å).

Most intense lines, 15 to 90 degrees two-theta, most intense first:
33.8 deg, I 100
26.6 deg, I 65
20.6 deg, I 59
16.7 deg, I 55
41.8 deg, I 53
54.8 deg, I 37
71.3 deg, I 32
45.3 deg, I 30
29.3 deg, I 25
50.3 deg, I 23

Atomic structure:
```
HfMg6SbO8
1.0
4.318 0.000 0.000
0.000 4.318 0.000
0.000 0.000 10.611
Hf Mg Sb O
1 6 1 8
Direct
0.000 0.000 0.000 Hf
0.000 0.500 0.273 Mg
0.000 0.500 0.727 Mg
0.500 0.000 0.273 Mg
0.500 0.000 0.727 Mg
0.500 0.500 0.000 Mg
0.500 0.500 0.500 Mg
0.000 0.000 0.500 Sb
0.000 0.000 0.196 O
0.000 0.000 0.804 O
0.000 0.500 0.000 O
0.000 0.500 0.500 O
0.500 0.000 0.000 O
0.500 0.000 0.500 O
0.500 0.500 0.293 O
0.500 0.500 0.707 O
```

---

(2)
Structure and simulated PXRD pattern of SrHf2Mg2O7 (DFT lattice parameters and positions (PBE); Cu Kα, 1.54184 Å).

Most intense lines, 15 to 90 degrees two-theta, most intense first:
26.3 deg, I 100
33.4 deg, I 93
22.0 deg, I 75
30.4 deg, I 60
43.5 deg, I 59
61.4 deg, I 46
55.9 deg, I 44
51.5 deg, I 32
41.0 deg, I 30
20.2 deg, I 28

Atomic structure:
```
SrHf2Mg2O7
1.0
-2.080 2.080 8.796
2.080 -2.080 8.796
2.080 2.080 -8.796
Sr Hf Mg O
1 2 2 7
Direct
0.000 0.000 0.000 Sr
0.384 0.384 0.000 Hf
0.616 0.616 0.000 Hf
0.250 0.750 0.500 Mg
0.750 0.250 0.500 Mg
0.119 0.619 0.500 O
0.264 0.264 0.000 O
0.381 0.881 0.500 O
0.500 0.500 0.000 O
0.619 0.119 0.500 O
0.736 0.736 0.000 O
0.881 0.381 0.500 O
```

---

(3)
Structure and simulated PXRD pattern of HfMgTeO6 (DFT lattice parameters and positions (PBE); Cu Kα, 1.54184 Å).

Most intense lines, 15 to 90 degrees two-theta, most intense first:
39.3 deg, I 100
19.5 deg, I 94
27.6 deg, I 94
33.9 deg, I 67
53.0 deg, I 66
19.4 deg, I 60
60.6 deg, I 26
44.2 deg, I 26
56.8 deg, I 25
64.3 deg, I 22

Atomic structure:
```
HfMgTeO6
1.0
5.296 0.000 0.000
-2.648 4.586 0.000
0.000 0.000 9.118
Hf Mg Te O
2 2 2 12
Direct
0.333 0.667 0.250 Hf
0.667 0.333 0.750 Hf
0.000 0.000 0.000 Mg
0.000 0.000 0.500 Mg
0.333 0.667 0.750 Te
0.667 0.333 0.250 Te
0.020 0.361 0.633 O
0.020 0.659 0.867 O
0.341 0.361 0.867 O
0.341 0.980 0.633 O
0.361 0.020 0.133 O
0.361 0.341 0.367 O
0.639 0.659 0.633 O
0.639 0.980 0.867 O
0.659 0.020 0.367 O
0.659 0.639 0.133 O
0.980 0.341 0.133 O
0.980 0.639 0.367 O
```